Simulated XRD peak list
Compound: K4SnPb4
Radiation: Cu Ka
Structure: a crystal structure in Alexandria, relaxed with GGA-PBE
Intensities are scaled so that the largest is 1000.

Main lines, in order of rising 2θ (2θ = 10–80°):
Position (°2θ), d (Å), I/Imax
11.8, 7.477, 546
13.6, 6.498, 540
14.5, 6.129, 331
21.6, 4.108, 561
28.7, 3.109, 463
30.0, 2.979, 1000
32.8, 2.732, 240
33.4, 2.680, 233
34.5, 2.598, 770
44.1, 2.055, 235

Cell and atoms:
a = 8.956 Å, b = 8.956 Å, c = 8.956 Å
α = 135.94°, β = 132.49°, γ = 66.79°
Fractional coordinates of all 9 atoms:
K: 0.028 0.660 0.013
K: 0.353 0.340 0.368
K: 0.647 0.015 0.987
K: 0.972 0.985 0.632
Sn: 0.500 0.000 0.500
Pb: 0.221 0.274 0.669
Pb: 0.396 0.726 0.948
Pb: 0.604 0.552 0.331
Pb: 0.779 0.448 0.052